Record 1
The following is a simulated powder XRD pattern of TaRh2. It was derived from a crystal structure in the Materials Project, relaxed with PBE, using a wavelength of 1.5418 Å.
Peak positions follow from Bragg's law for the DFT cell and can differ from measured ones.

Atomic structure:
```
data_TaRh2
_space_group_name_H-M_alt 'P n m a'
_space_group_IT_number 62
_cell_length_a 5.478
_cell_length_b 4.150
_cell_length_c 8.178
_cell_angle_alpha 90.00
_cell_angle_beta 90.00
_cell_angle_gamma 90.00
loop_
_space_group_symop_operation_xyz
'x,y,z'
'-x,-y,-z'
'-x+1/2,-y,z+1/2'
'x+1/2,y,-z+1/2'
'x+1/2,-y+1/2,-z+1/2'
'-x+1/2,y+1/2,z+1/2'
'-x,y+1/2,-z'
'x,-y+1/2,z'
loop_
_atom_site_label
_atom_site_type_symbol
_atom_site_fract_x
_atom_site_fract_y
_atom_site_fract_z
Ta1 Ta 0.172 0.250 0.105
Rh1 Rh 0.072 0.250 0.776
Rh2 Rh 0.155 0.250 0.431
```

Main lines, in order of falling intensity (5 to 70 degrees two-theta):
- 39.6°, I 1000, hkl 0 1 3
- 39.4°, I 775, hkl 2 1 0
- 43.6°, I 408, hkl 0 2 0
- 47.0°, I 397, hkl 2 0 3
- 66.1°, I 284, hkl 2 2 3
- 41.0°, I 260, hkl 2 1 1
- 43.0°, I 131, hkl 1 1 3
- 27.2°, I 94, hkl 1 0 2
- 29.1°, I 86, hkl 1 1 1
- 69.6°, I 78, hkl 4 0 1
- 36.8°, I 77, hkl 1 0 3
- 52.2°, I 67, hkl 1 2 2



Record 2
The following is a simulated powder XRD pattern of TaTe4Rh. It was derived from a crystal structure in the Materials Project, relaxed with PBE, using a wavelength of 1.5418 Å.
Peak positions follow from Bragg's law for the DFT cell and can differ from measured ones.

Atomic structure:
```
data_TaTe4Rh
_space_group_name_H-M_alt 'P m n 21'
_space_group_IT_number 31
_cell_length_a 3.782
_cell_length_b 12.791
_cell_length_c 13.570
_cell_angle_alpha 90.00
_cell_angle_beta 90.00
_cell_angle_gamma 90.00
loop_
_space_group_symop_operation_xyz
'x,y,z'
'-x+1/2,-y,z+1/2'
'-x,y,z'
'x+1/2,-y,z+1/2'
loop_
_atom_site_label
_atom_site_type_symbol
_atom_site_fract_x
_atom_site_fract_y
_atom_site_fract_z
Ta1 Ta 0.000 0.053 0.000
Ta2 Ta 0.000 0.268 0.488
Te1 Te 0.000 0.066 0.389
Te2 Te 0.000 0.192 0.853
Te3 Te 0.000 0.347 0.088
Te4 Te 0.000 0.411 0.632
Te5 Te 0.000 0.565 0.396
Te6 Te 0.000 0.676 0.846
Te7 Te 0.000 0.850 0.102
Te8 Te 0.000 0.891 0.641
Rh1 Rh 0.000 0.535 0.996
Rh2 Rh 0.000 0.754 0.489
```

Main lines, in order of falling intensity (5 to 70 degrees two-theta):
- 13.0°, I 1000, hkl 0 0 2
- 30.5°, I 949, hkl 1 2 2
- 33.9°, I 757, hkl 1 2 3
- 43.4°, I 375, hkl 1 2 5
- 49.1°, I 345, hkl 0 2 7
- 28.7°, I 303, hkl 0 4 1
- 48.1°, I 255, hkl 2 0 0
- 30.9°, I 249, hkl 0 4 2
- 34.3°, I 230, hkl 0 4 3
- 39.2°, I 229, hkl 1 4 2
- 49.5°, I 218, hkl 1 6 1
- 38.7°, I 213, hkl 0 4 4



Record 3
The following is a simulated powder XRD pattern of Tb5Rh3. It was derived from a crystal structure in the Materials Project, relaxed with PBE, using a wavelength of 1.5418 Å.
Peak positions follow from Bragg's law for the DFT cell and can differ from measured ones.

Atomic structure:
```
data_Tb5Rh3
_space_group_name_H-M_alt 'P 63/m c m'
_space_group_IT_number 193
_space_group_name_Hall '-P 6c 2'
_cell_length_a 8.3337
_cell_length_b 8.3337
_cell_length_c 6.3392
_cell_angle_alpha 90.00
_cell_angle_beta 90.00
_cell_angle_gamma 120.00
loop_
_atom_site_label
_atom_site_type_symbol
_atom_site_fract_x
_atom_site_fract_y
_atom_site_fract_z
Tb1 Tb 0.0000 0.2550 0.2500
Tb2 Tb 0.3333 0.6667 0.0000
Rh1 Rh 0.0000 0.3926 0.7500
```

Main lines, in order of falling intensity (5 to 70 degrees two-theta):
- 35.6°, I 1000, hkl 1 1 2
- 35.8°, I 960, hkl 2 1 1
- 37.4°, I 551, hkl 3 0 0
- 32.8°, I 322, hkl 2 1 0
- 55.0°, I 280, hkl 2 1 3
- 52.6°, I 230, hkl 2 2 2
- 30.8°, I 226, hkl 1 0 2
- 28.2°, I 181, hkl 0 0 2
- 58.9°, I 178, hkl 4 0 2
- 57.5°, I 148, hkl 3 2 1
- 58.2°, I 126, hkl 0 0 4
- 47.6°, I 113, hkl 3 1 1



Record 4
The following is a simulated powder XRD pattern of Tb7Rh3. It was derived from a crystal structure in the Materials Project, relaxed with PBE, using a wavelength of 1.5418 Å.
Peak positions follow from Bragg's law for the DFT cell and can differ from measured ones.

Atomic structure:
```
data_Tb7Rh3
_space_group_name_H-M_alt 'P 63 m c'
_space_group_IT_number 186
_space_group_name_Hall 'P 6c -2c'
_cell_length_a 9.8574
_cell_length_b 9.8574
_cell_length_c 6.2157
_cell_angle_alpha 90.00
_cell_angle_beta 90.00
_cell_angle_gamma 120.00
loop_
_atom_site_label
_atom_site_type_symbol
_atom_site_fract_x
_atom_site_fract_y
_atom_site_fract_z
Tb1 Tb 0.0812 0.5406 0.0000
Tb2 Tb 0.1240 0.2480 0.3103
Tb3 Tb 0.3333 0.6667 0.5142
Rh1 Rh 0.1900 0.3800 0.7358
```

Main lines, in order of falling intensity (5 to 70 degrees two-theta):
- 31.2°, I 1000, hkl 2 1 1
- 34.7°, I 527, hkl 3 0 1
- 30.6°, I 422, hkl 1 0 2
- 35.7°, I 416, hkl 2 0 2
- 36.5°, I 344, hkl 2 2 0
- 54.8°, I 238, hkl 3 0 3
- 55.8°, I 218, hkl 5 0 1
- 55.5°, I 217, hkl 3 2 2
- 56.0°, I 185, hkl 3 3 0
- 31.4°, I 170, hkl 3 0 0
- 48.9°, I 143, hkl 2 0 3
- 40.3°, I 130, hkl 2 1 2



Record 5
The following is a simulated powder XRD pattern of TbRh5. It was derived from a crystal structure in the Materials Project, relaxed with PBE, using a wavelength of 1.5418 Å.
Peak positions follow from Bragg's law for the DFT cell and can differ from measured ones.

Atomic structure:
```
data_TbRh5
_space_group_name_H-M_alt 'P 6/m m m'
_space_group_IT_number 191
_space_group_name_Hall '-P 6 2'
_cell_length_a 5.2520
_cell_length_b 5.2520
_cell_length_c 4.3339
_cell_angle_alpha 90.00
_cell_angle_beta 90.00
_cell_angle_gamma 120.00
loop_
_atom_site_label
_atom_site_type_symbol
_atom_site_fract_x
_atom_site_fract_y
_atom_site_fract_z
Tb1 Tb 0.0000 0.0000 0.0000
Rh1 Rh 0.0000 0.5000 0.5000
Rh2 Rh 0.3333 0.6667 0.0000
```

Main lines, in order of falling intensity (5 to 70 degrees two-theta):
- 40.2°, I 1000, hkl 1 1 1
- 39.6°, I 314, hkl 2 0 0
- 41.7°, I 313, hkl 0 0 2
- 28.4°, I 277, hkl 1 0 1
- 34.1°, I 241, hkl 1 1 0
- 65.2°, I 235, hkl 3 0 1
- 45.0°, I 222, hkl 2 0 1
- 58.9°, I 195, hkl 2 0 2
- 54.9°, I 123, hkl 1 1 2
- 57.7°, I 77, hkl 2 1 1
- 19.5°, I 47, hkl 1 0 0
- 61.1°, I 44, hkl 3 0 0



Record 6
The following is a simulated powder XRD pattern of Tb3Rh. It was derived from a crystal structure in the Materials Project, relaxed with PBE, using a wavelength of 1.5418 Å.
Peak positions follow from Bragg's law for the DFT cell and can differ from measured ones.

Atomic structure:
```
data_Tb3Rh
_space_group_name_H-M_alt 'P n m a'
_space_group_IT_number 62
_cell_length_a 7.165
_cell_length_b 9.565
_cell_length_c 6.288
_cell_angle_alpha 90.00
_cell_angle_beta 90.00
_cell_angle_gamma 90.00
loop_
_space_group_symop_operation_xyz
'x,y,z'
'-x,-y,-z'
'-x+1/2,-y,z+1/2'
'x+1/2,y,-z+1/2'
'x+1/2,-y+1/2,-z+1/2'
'-x+1/2,y+1/2,z+1/2'
'-x,y+1/2,-z'
'x,-y+1/2,z'
loop_
_atom_site_label
_atom_site_type_symbol
_atom_site_fract_x
_atom_site_fract_y
_atom_site_fract_z
Tb1 Tb 0.031 0.250 0.134
Tb2 Tb 0.178 0.063 0.669
Rh1 Rh 0.118 0.750 0.438
```

Main lines, in order of falling intensity (5 to 70 degrees two-theta):
- 32.5°, I 1000, hkl 1 1 2
- 31.5°, I 941, hkl 0 3 1
- 34.4°, I 752, hkl 2 2 1
- 31.2°, I 728, hkl 2 2 0
- 33.9°, I 638, hkl 1 3 1
- 30.2°, I 549, hkl 2 1 1
- 57.9°, I 479, hkl 0 6 0
- 31.1°, I 425, hkl 1 0 2
- 56.3°, I 418, hkl 3 3 2
- 36.4°, I 401, hkl 1 2 2
- 37.8°, I 392, hkl 2 3 0
- 40.4°, I 376, hkl 3 0 1



Record 7
The following is a simulated powder XRD pattern of Tb4Rh. It was derived from a crystal structure in the Materials Project, relaxed with PBE, using a wavelength of 1.5418 Å.
Peak positions follow from Bragg's law for the DFT cell and can differ from measured ones.

Atomic structure:
abc: 10.792 10.792 10.792
angles: 90.00 90.00 90.00
Space group Fd-3m (No. 227, origin choice 2)
Symmetry-distinct sites (fractional):
Tb: 0.014 0.014 0.236 x32
Rh: 0.125 0.125 0.625 x8

Main lines, in order of falling intensity (5 to 70 degrees two-theta):
- 28.7°, I 1000, hkl 2 2 2
- 47.7°, I 451, hkl 4 4 0
- 56.6°, I 349, hkl 6 2 2
- 33.2°, I 333, hkl 4 0 0
- 43.6°, I 196, hkl 5 1 1
- 36.3°, I 183, hkl 3 3 1
- 23.3°, I 110, hkl 2 2 0
- 61.3°, I 78, hkl 7 1 1
- 66.6°, I 68, hkl 5 5 3
- 59.3°, I 63, hkl 4 4 4
- 69.7°, I 57, hkl 8 0 0
- 64.6°, I 39, hkl 6 4 2



Record 8
The following is a simulated powder XRD pattern of TbYRh2. It was derived from a crystal structure in the Materials Project, relaxed with PBE, using a wavelength of 1.5418 Å.
Peak positions follow from Bragg's law for the DFT cell and can differ from measured ones.

Atomic structure:
```
data_TbYRh2
_space_group_name_H-M_alt 'F m -3 m'
_space_group_IT_number 225
_space_group_name_Hall '-F 4 2 3'
_cell_length_a 6.891
_cell_length_b 6.891
_cell_length_c 6.891
_cell_angle_alpha 90.00
_cell_angle_beta 90.00
_cell_angle_gamma 90.00
loop_
_atom_site_label
_atom_site_type_symbol
_atom_site_fract_x
_atom_site_fract_y
_atom_site_fract_z
Tb1 Tb 0.000 0.000 0.000
Y1 Y 0.000 0.000 0.500
Rh1 Rh 0.250 0.250 0.250
```

Main lines, in order of falling intensity (5 to 70 degrees two-theta):
- 36.9°, I 1000, hkl 2 2 0
- 66.5°, I 348, hkl 4 2 2
- 53.2°, I 173, hkl 4 0 0
- 22.3°, I 48, hkl 1 1 1
- 43.6°, I 27, hkl 3 1 1
- 58.4°, I 12, hkl 3 3 1
- 25.9°, I 8, hkl 2 0 0



Record 9
The following is a simulated powder XRD pattern of TbZnRh2. It was derived from a crystal structure in the Materials Project, relaxed with PBE, using a wavelength of 1.5418 Å.
Peak positions follow from Bragg's law for the DFT cell and can differ from measured ones.

Atomic structure:
```
data_TbZnRh2
_space_group_name_H-M_alt 'F m -3 m'
_space_group_IT_number 225
_space_group_name_Hall '-F 4 2 3'
_cell_length_a 6.484
_cell_length_b 6.484
_cell_length_c 6.484
_cell_angle_alpha 90.00
_cell_angle_beta 90.00
_cell_angle_gamma 90.00
loop_
_atom_site_label
_atom_site_type_symbol
_atom_site_fract_x
_atom_site_fract_y
_atom_site_fract_z
Tb1 Tb 0.000 0.000 0.000
Zn1 Zn 0.000 0.000 0.500
Rh1 Rh 0.250 0.250 0.250
```

Main lines, in order of falling intensity (5 to 70 degrees two-theta):
- 39.3°, I 1000, hkl 2 2 0
- 56.8°, I 168, hkl 4 0 0
- 23.8°, I 93, hkl 1 1 1
- 46.5°, I 48, hkl 3 1 1
- 62.4°, I 21, hkl 3 3 1



Record 10
The following is a simulated powder XRD pattern of TbZnRh. It was derived from a crystal structure in the Materials Project, relaxed with PBE, using a wavelength of 1.5418 Å.
Peak positions follow from Bragg's law for the DFT cell and can differ from measured ones.

Atomic structure:
```
data_TbZnRh
_space_group_name_H-M_alt 'P n m a'
_space_group_IT_number 62
_cell_length_a 6.963
_cell_length_b 4.065
_cell_length_c 8.156
_cell_angle_alpha 90.00
_cell_angle_beta 90.00
_cell_angle_gamma 90.00
loop_
_space_group_symop_operation_xyz
'x,y,z'
'-x,-y,-z'
'-x+1/2,-y,z+1/2'
'x+1/2,y,-z+1/2'
'x+1/2,-y+1/2,-z+1/2'
'-x+1/2,y+1/2,z+1/2'
'-x,y+1/2,-z'
'x,-y+1/2,z'
loop_
_atom_site_label
_atom_site_type_symbol
_atom_site_fract_x
_atom_site_fract_y
_atom_site_fract_z
Tb1 Tb 0.039 0.250 0.184
Zn1 Zn 0.137 0.250 0.563
Rh1 Rh 0.244 0.750 0.377
```

Main lines, in order of falling intensity (5 to 70 degrees two-theta):
- 35.7°, I 1000, hkl 2 1 1
- 33.7°, I 617, hkl 1 1 2
- 33.9°, I 403, hkl 2 1 0
- 44.6°, I 354, hkl 0 2 0
- 39.9°, I 332, hkl 0 1 3
- 35.4°, I 304, hkl 1 0 3
- 65.1°, I 302, hkl 3 2 2
- 44.9°, I 269, hkl 3 0 2
- 42.0°, I 243, hkl 1 1 3
- 58.2°, I 145, hkl 1 2 3
- 51.8°, I 132, hkl 1 1 4
- 40.4°, I 104, hkl 3 0 1



Record 11
The following is a simulated powder XRD pattern of Tc3Rh. It was derived from a crystal structure in the Materials Project, relaxed with PBE, using a wavelength of 1.5418 Å.
Peak positions follow from Bragg's law for the DFT cell and can differ from measured ones.

Atomic structure:
```
data_Tc3Rh
_space_group_name_H-M_alt 'P 63/m m c'
_space_group_IT_number 194
_space_group_name_Hall '-P 6c 2c'
_cell_length_a 5.5263
_cell_length_b 5.5263
_cell_length_c 4.3636
_cell_angle_alpha 90.00
_cell_angle_beta 90.00
_cell_angle_gamma 120.00
loop_
_atom_site_label
_atom_site_type_symbol
_atom_site_fract_x
_atom_site_fract_y
_atom_site_fract_z
Tc1 Tc 0.1608 0.3215 0.2500
Rh1 Rh 0.3333 0.6667 0.7500
```

Main lines, in order of falling intensity (5 to 70 degrees two-theta):
- 43.1°, I 1000, hkl 2 0 1
- 41.4°, I 252, hkl 0 0 2
- 37.6°, I 247, hkl 2 0 0
- 67.8°, I 165, hkl 2 2 0
- 57.1°, I 142, hkl 2 0 2
- 61.9°, I 5, hkl 3 0 1



Record 12
The following is a simulated powder XRD pattern of TcRh3. It was derived from a crystal structure in the Materials Project, relaxed with PBE, using a wavelength of 1.5418 Å.
Peak positions follow from Bragg's law for the DFT cell and can differ from measured ones.

Atomic structure:
```
data_TcRh3
_space_group_name_H-M_alt 'P 63/m m c'
_space_group_IT_number 194
_space_group_name_Hall '-P 6c 2c'
_cell_length_a 5.5035
_cell_length_b 5.5035
_cell_length_c 4.3412
_cell_angle_alpha 90.00
_cell_angle_beta 90.00
_cell_angle_gamma 120.00
loop_
_atom_site_label
_atom_site_type_symbol
_atom_site_fract_x
_atom_site_fract_y
_atom_site_fract_z
Tc1 Tc 0.3333 0.6667 0.2500
Rh1 Rh 0.1677 0.3354 0.7500
```

Main lines, in order of falling intensity (5 to 70 degrees two-theta):
- 43.3°, I 1000, hkl 2 0 1
- 41.6°, I 250, hkl 0 0 2
- 37.7°, I 247, hkl 2 0 0
- 68.2°, I 168, hkl 2 2 0
- 57.4°, I 142, hkl 2 0 2



Record 13
The following is a simulated powder XRD pattern of Zr2TcRh. It was derived from a crystal structure in the Materials Project, relaxed with PBE, using a wavelength of 1.5418 Å.
Peak positions follow from Bragg's law for the DFT cell and can differ from measured ones.

Atomic structure:
```
data_Zr2TcRh
_space_group_name_H-M_alt 'F m -3 m'
_space_group_IT_number 225
_space_group_name_Hall '-F 4 2 3'
_cell_length_a 6.602
_cell_length_b 6.602
_cell_length_c 6.602
_cell_angle_alpha 90.00
_cell_angle_beta 90.00
_cell_angle_gamma 90.00
loop_
_atom_site_label
_atom_site_type_symbol
_atom_site_fract_x
_atom_site_fract_y
_atom_site_fract_z
Zr1 Zr 0.250 0.250 0.250
Tc1 Tc 0.000 0.000 0.000
Rh1 Rh 0.000 0.000 0.500
```

Main lines, in order of falling intensity (5 to 70 degrees two-theta):
- 38.6°, I 1000, hkl 2 2 0
- 69.8°, I 333, hkl 4 2 2
- 55.7°, I 167, hkl 4 0 0